1.
For Ca4YIn5, a structure optimized by DFT (GGA-PBE) gives the computed X-ray diffraction stick pattern in this record (λ = 1.5418 Å (Cu Kα)).
No peak broadening, texture or thermal motion is included.

Peak list (6 most intense, 5° ≤ 2θ ≤ 70°, by angle)
- 3.854 Å, I 18
- 2.725 Å, I 51
- 2.705 Å, I 100
- 1.927 Å, I 18
- 1.570 Å, I 36
- 1.558 Å, I 17

Crystal structure
Unit cell a=3.8542 b=3.8542 c=18.9878 alpha=90.00 beta=90.00 gamma=90.00
Space group P4/mmm (No. 123)
One atom of each set of equivalent atoms:
Ca1 0.0000 0.0000 0.1009 (multiplicity 2)
Ca2 0.0000 0.0000 0.3010 (multiplicity 2)
Y1 0.0000 0.0000 0.5000 (multiplicity 1)
In1 0.5000 0.5000 0.0000 (multiplicity 1)
In2 0.5000 0.5000 0.2010 (multiplicity 2)
In3 0.5000 0.5000 0.4040 (multiplicity 2)

***

2.
For Li3Ga2Pd2, a structure optimized by DFT (GGA-PBE) gives the computed X-ray diffraction stick pattern in this record (λ = 1.5418 Å (Cu Kα)).
No peak broadening, texture or thermal motion is included.

Peak list (6 most intense, 5° ≤ 2θ ≤ 70°, by angle)
- 6.286 Å, I 42
- 3.659 Å, I 78
- 3.143 Å, I 29
- 2.190 Å, I 33
- 2.181 Å, I 66
- 2.154 Å, I 100

Crystal structure
Unit cell a=7.4526 b=4.3116 c=6.7739 alpha=90.00 beta=111.88 gamma=90.00
Space group C2/m (No. 12)
One atom of each set of equivalent atoms:
Li1 0.0000 0.0000 0.0000 (multiplicity 2)
Li2 0.1415 0.0000 0.4237 (multiplicity 4)
Ga1 0.0784 0.5000 0.7358 (multiplicity 4)
Pd1 0.2174 0.5000 0.1524 (multiplicity 4)

***

3.
For Nd4Y2Pb3O2, a structure optimized by DFT (GGA-PBE) gives the computed X-ray diffraction stick pattern in this record (λ = 1.5418 Å (Cu Kα)).
No peak broadening, texture or thermal motion is included.

Peak list (6 most intense, 5° ≤ 2θ ≤ 70°, by angle)
- 4.748 Å, I 22
- 3.526 Å, I 23
- 3.302 Å, I 28
- 2.674 Å, I 100
- 2.415 Å, I 52
- 1.439 Å, I 30

Crystal structure
Unit cell a=4.8301 b=4.8301 c=25.7912 alpha=90.00 beta=90.00 gamma=90.00
Space group I4/mmm (No. 139)
One atom of each set of equivalent atoms:
Nd1 0.0000 0.5000 0.0845 (multiplicity 8)
Y1 0.0000 0.0000 0.1939 (multiplicity 4)
Pb1 0.0000 0.0000 0.3183 (multiplicity 4)
Pb2 0.0000 0.0000 0.5000 (multiplicity 2)
O1 0.0000 0.0000 0.1059 (multiplicity 4)